1.
The following is a simulated X-ray diffraction stick pattern of Li5Ac2Pb4. It was derived from a crystal structure in Alexandria, relaxed with GGA-PBE, using Cu Kα.
Kinematic intensities with the Lorentz-polarization factor, no thermal factor.

Peak list (6 most intense, 2θ from 10° to 90°, in order of falling intensity)
2.758 Å, 32.46°, rel. 100; 4.160 Å, 21.36°, rel. 66; 3.123 Å, 28.59°, rel. 62; 3.286 Å, 27.14°, rel. 52; 2.578 Å, 34.79°, rel. 43; 1.904 Å, 47.78°, rel. 35

Atomic structure:
Cell lengths 9.9449, 8.9448, 6.3630 Å; angles 79.06, 62.02, 38.92 degrees
Element x y z (fractional)
1 Li 0.0000 0.0000 0.0000
2 Li 0.0000 0.0000 0.5000
3 Li 0.2500 0.2500 0.2500
4 Li 0.5000 0.5000 0.0000
5 Li 0.7500 0.7500 0.7500
6 Ac 0.3423 0.3423 0.6577
7 Ac 0.6577 0.6577 0.3423
8 Pb 0.0070 0.7175 0.2825
9 Pb 0.2825 0.9930 0.0070
10 Pb 0.7175 0.0070 0.9930
11 Pb 0.9930 0.2825 0.7175

---

2.
The following is a simulated X-ray diffraction stick pattern of Ac2Sn8Pt. It was derived from a crystal structure in Alexandria, relaxed with GGA-PBE, using Cu Kα.
Kinematic intensities with the Lorentz-polarization factor, no thermal factor.

Peak list (6 most intense, 2θ from 10° to 90°, in order of falling intensity)
2.692 Å, 33.28°, rel. 100; 2.457 Å, 36.57°, rel. 55; 1.460 Å, 63.75°, rel. 32; 3.052 Å, 29.26°, rel. 26; 1.771 Å, 51.61°, rel. 20; 1.737 Å, 52.68°, rel. 20

Atomic structure:
Cell lengths 4.9142, 4.9142, 12.7757 Å; angles 90.00, 90.00, 90.00 degrees
Element x y z (fractional)
1 Ac 0.0000 0.0000 0.1888
2 Ac 0.0000 0.0000 0.8112
3 Sn 0.0000 0.5000 0.0000
4 Sn 0.0000 0.5000 0.3800
5 Sn 0.0000 0.5000 0.6200
6 Sn 0.5000 0.0000 0.0000
7 Sn 0.5000 0.0000 0.3800
8 Sn 0.5000 0.0000 0.6200
9 Sn 0.5000 0.5000 0.1955
10 Sn 0.5000 0.5000 0.8045
11 Pt 0.0000 0.0000 0.5000

---

3.
The following is a simulated X-ray diffraction stick pattern of Ce3Th2O9. It was derived from a crystal structure in Alexandria, relaxed with GGA-PBE, using Cu Kα.
Kinematic intensities with the Lorentz-polarization factor, no thermal factor.

Peak list (6 most intense, 2θ from 10° to 90°, in order of falling intensity)
3.220 Å, 27.70°, rel. 100; 1.972 Å, 46.03°, rel. 49; 2.789 Å, 32.09°, rel. 34; 1.683 Å, 54.54°, rel. 31; 1.280 Å, 74.09°, rel. 16; 1.680 Å, 54.64°, rel. 12

Atomic structure:
Cell lengths 14.1978, 14.1978, 14.1978 Å; angles 164.02, 164.02, 22.67 degrees
Element x y z (fractional)
1 Ce 0.0000 0.0000 0.0000
2 Ce 0.4054 0.4054 0.0000
3 Ce 0.5946 0.5946 0.0000
4 Th 0.1939 0.1939 0.0000
5 Th 0.8061 0.8061 0.0000
6 O 0.0525 0.5525 0.5000
7 O 0.1554 0.6554 0.5000
8 O 0.3446 0.8446 0.5000
9 O 0.4475 0.9475 0.5000
10 O 0.5477 0.0477 0.5000
11 O 0.6480 0.1480 0.5000
12 O 0.7500 0.2500 0.5000
13 O 0.8520 0.3520 0.5000
14 O 0.9523 0.4523 0.5000

---

4.
The following is a simulated X-ray diffraction stick pattern of K3Na8Cd. It was derived from a crystal structure in Alexandria, relaxed with GGA-PBE, using Cu Kα.
Kinematic intensities with the Lorentz-polarization factor, no thermal factor.

Peak list (6 most intense, 2θ from 10° to 90°, in order of falling intensity)
3.041 Å, 29.37°, rel. 100; 3.566 Å, 24.97°, rel. 59; 1.940 Å, 46.82°, rel. 25; 5.823 Å, 15.22°, rel. 18; 2.058 Å, 44.01°, rel. 18; 2.909 Å, 30.73°, rel. 13

Atomic structure:
Cell lengths 12.3803, 12.3803, 12.3803 Å; angles 33.44, 33.44, 33.44 degrees
Element x y z (fractional)
1 K 0.0000 0.0000 0.0000
2 K 0.1288 0.1288 0.1288
3 K 0.5121 0.5121 0.5121
4 Na 0.0560 0.5651 0.5651
5 Na 0.0693 0.0693 0.5711
6 Na 0.0693 0.5711 0.0693
7 Na 0.3154 0.3154 0.3154
8 Na 0.5651 0.0560 0.5651
9 Na 0.5651 0.5651 0.0560
10 Na 0.5711 0.0693 0.0693
11 Na 0.8165 0.8165 0.8165
12 Cd 0.6305 0.6305 0.6305

---

5.
The following is a simulated X-ray diffraction stick pattern of Pm12DyEr7. It was derived from a crystal structure in Alexandria, relaxed with GGA-PBE, using Cu Kα.
Kinematic intensities with the Lorentz-polarization factor, no thermal factor.

Peak list (6 most intense, 2θ from 10° to 90°, in order of falling intensity)
2.972 Å, 30.07°, rel. 100; 2.731 Å, 32.79°, rel. 47; 2.715 Å, 32.99°, rel. 46; 3.263 Å, 27.33°, rel. 42; 2.900 Å, 30.83°, rel. 41; 2.282 Å, 39.48°, rel. 40

Atomic structure:
Cell lengths 11.4902, 11.4902, 11.4902 Å; angles 116.87, 116.87, 116.87 degrees
Element x y z (fractional)
1 Pm 0.9996 0.4129 0.5868
2 Pm 0.0004 0.5871 0.4132
3 Pm 0.0853 0.4387 0.0858
4 Pm 0.0858 0.0853 0.4387
5 Pm 0.4132 0.0004 0.5871
6 Pm 0.4129 0.5868 0.9996
7 Pm 0.4387 0.0858 0.0853
8 Pm 0.5613 0.9142 0.9147
9 Pm 0.5868 0.9996 0.4129
10 Pm 0.5871 0.4132 0.0004
11 Pm 0.9142 0.9147 0.5613
12 Pm 0.9147 0.5613 0.9142
13 Dy 0.5000 0.5000 0.5000
14 Er 0.0000 0.0000 0.0000
15 Er 0.1302 0.3739 0.3743
16 Er 0.3743 0.1302 0.3739
17 Er 0.3739 0.3743 0.1302
18 Er 0.6261 0.6257 0.8698
19 Er 0.6257 0.8698 0.6261
20 Er 0.8698 0.6261 0.6257